[1]
This entry pairs a crystal structure of AlFe5Re2B2 with its simulated X-ray diffraction stick pattern. Radiation: Cu Kα (weighted mean of Kα1 and Kα2). Structure: DFT lattice parameters and positions (GGA-PBE).
Lines closer than 0.1° are merged.

Main lines, in order of rising 2θ (2θ = 15–90°):
| 2theta | Rel. int. |
| --- | --- |
| 20.48 | 40 |
| 22.93 | 68 |
| 38.65 | 32 |
| 40.08 | 100 |
| 43.01 | 94 |
| 44.13 | 27 |
| 44.32 | 36 |
| 46.68 | 59 |
| 50.31 | 19 |
| 83.80 | 27 |

Atomic structure:
Cell: 8.6714 8.6714 2.7620 Å, 90.00 90.00 90.00°
Fractional coordinates of all 20 atoms:
Al 0.0000 0.0000 0.0000
Al 0.5000 0.5000 0.0000
Fe 0.0000 0.5000 0.5000
Fe 0.0647 0.2170 0.5000
Fe 0.2170 0.9353 0.5000
Fe 0.2830 0.4353 0.5000
Fe 0.4353 0.7170 0.5000
Fe 0.5000 0.0000 0.5000
Fe 0.5647 0.2830 0.5000
Fe 0.7170 0.5647 0.5000
Fe 0.7830 0.0647 0.5000
Fe 0.9353 0.7830 0.5000
Re 0.1792 0.6792 0.0000
Re 0.3208 0.1792 0.0000
Re 0.6792 0.8208 0.0000
Re 0.8208 0.3208 0.0000
B 0.1235 0.3765 0.0000
B 0.3765 0.8765 0.0000
B 0.6235 0.1235 0.0000
B 0.8765 0.6235 0.0000

[2]
This entry pairs a crystal structure of AlGe2B with its simulated X-ray diffraction stick pattern. Radiation: Cu Kα (weighted mean of Kα1 and Kα2). Structure: DFT lattice parameters and positions (GGA-PBE).
Lines closer than 0.1° are merged.

Main lines, in order of rising 2θ (2θ = 15–90°):
| 2theta | Rel. int. |
| --- | --- |
| 29.27 | 100 |
| 32.37 | 15 |
| 36.86 | 9 |
| 37.51 | 29 |
| 46.11 | 11 |
| 46.43 | 12 |
| 49.86 | 28 |
| 55.83 | 13 |
| 61.80 | 11 |
| 67.51 | 10 |

Atomic structure:
Cell: 6.2516 6.2516 6.2516 Å, 127.48 127.48 77.47°
Fractional coordinates of all 8 atoms:
Al 0.0000 0.0000 0.0000
Al 0.7500 0.2500 0.5000
Ge 0.1960 0.6250 0.0710
Ge 0.3750 0.4460 0.5710
Ge 0.5540 0.1250 0.9290
Ge 0.8750 0.8040 0.4290
B 0.2500 0.7500 0.5000
B 0.5000 0.5000 0.0000

[3]
This entry pairs a crystal structure of AlB6H2 with its simulated X-ray diffraction stick pattern. Radiation: Cu Kα (weighted mean of Kα1 and Kα2). Structure: DFT lattice parameters and positions (GGA-PBE).
Lines closer than 0.1° are merged.

Main lines, in order of rising 2θ (2θ = 15–90°):
| 2theta | Rel. int. |
| --- | --- |
| 20.97 | 63 |
| 22.94 | 94 |
| 28.87 | 100 |
| 29.37 | 20 |
| 31.67 | 24 |
| 32.14 | 17 |
| 32.37 | 22 |
| 39.36 | 16 |
| 42.25 | 26 |
| 44.87 | 20 |

Atomic structure:
Cell: 3.1503 4.4640 6.3721 Å, 76.94 82.19 75.65°
Fractional coordinates of all 9 atoms:
Al 0.0000 0.0000 0.0000
B 0.0780 0.1575 0.6444
B 0.2446 0.5029 0.5217
B 0.3801 0.8618 0.4700
B 0.6199 0.1382 0.5300
B 0.7554 0.4971 0.4783
B 0.9220 0.8425 0.3556
H 0.4425 0.2541 0.0058
H 0.5575 0.7459 0.9942

[4]
This entry pairs a crystal structure of Al2B3HO8 with its simulated X-ray diffraction stick pattern. Radiation: Cu Kα (weighted mean of Kα1 and Kα2). Structure: DFT lattice parameters and positions (GGA-PBE).
Lines closer than 0.1° are merged.

Main lines, in order of rising 2θ (2θ = 15–90°):
| 2theta | Rel. int. |
| --- | --- |
| 15.22 | 100 |
| 17.37 | 24 |
| 23.10 | 10 |
| 24.61 | 17 |
| 26.57 | 7 |
| 30.71 | 15 |
| 31.88 | 6 |
| 34.41 | 5 |
| 41.32 | 7 |
| 42.59 | 9 |

Atomic structure:
Cell: 7.7114 10.6159 8.8793 Å, 90.00 90.00 90.00°
Fractional coordinates of all 56 atoms:
Al 0.0601 0.1140 0.0710
Al 0.0601 0.3860 0.0710
Al 0.4399 0.6140 0.5710
Al 0.4399 0.8860 0.5710
Al 0.5601 0.1140 0.4290
Al 0.5601 0.3860 0.4290
Al 0.9399 0.6140 0.9290
Al 0.9399 0.8860 0.9290
B 0.2308 0.7500 0.3437
B 0.2465 0.0195 0.8017
B 0.2465 0.4805 0.8017
B 0.2535 0.5195 0.3017
B 0.2535 0.9805 0.3017
B 0.2692 0.2500 0.8437
B 0.7308 0.7500 0.1563
B 0.7465 0.0195 0.6983
B 0.7465 0.4805 0.6983
B 0.7535 0.5195 0.1983
B 0.7535 0.9805 0.1983
B 0.7692 0.2500 0.6563
H 0.1734 0.7500 0.8114
H 0.3266 0.2500 0.3114
H 0.6734 0.7500 0.6886
H 0.8266 0.2500 0.1886
O 0.0720 0.7500 0.8772
O 0.1177 0.0069 0.9122
O 0.1177 0.4931 0.9122
O 0.1769 0.2500 0.9759
O 0.1826 0.6388 0.2753
O 0.1826 0.8612 0.2753
O 0.2021 0.0808 0.2215
O 0.2021 0.4192 0.2215
O 0.2979 0.5808 0.7215
O 0.2979 0.9192 0.7215
O 0.3174 0.1388 0.7753
O 0.3174 0.3612 0.7753
O 0.3231 0.7500 0.4759
O 0.3823 0.5069 0.4122
O 0.3823 0.9931 0.4122
O 0.4280 0.2500 0.3772
O 0.5720 0.7500 0.6228
O 0.6177 0.0069 0.5878
O 0.6177 0.4931 0.5878
O 0.6769 0.2500 0.5241
O 0.6826 0.6388 0.2247
O 0.6826 0.8612 0.2247
O 0.7021 0.0808 0.2785
O 0.7021 0.4192 0.2785
O 0.7979 0.5808 0.7785
O 0.7979 0.9192 0.7785
O 0.8174 0.1388 0.7247
O 0.8174 0.3612 0.7247
O 0.8231 0.7500 0.0241
O 0.8823 0.5069 0.0878
O 0.8823 0.9931 0.0878
O 0.9280 0.2500 0.1228

[5]
This entry pairs a crystal structure of RbAlBP2HO9 with its simulated X-ray diffraction stick pattern. Radiation: Cu Kα (weighted mean of Kα1 and Kα2). Structure: DFT lattice parameters and positions (GGA-PBE).
Lines closer than 0.1° are merged.

Main lines, in order of rising 2θ (2θ = 15–90°):
| 2theta | Rel. int. |
| --- | --- |
| 19.32 | 52 |
| 22.82 | 24 |
| 23.87 | 34 |
| 25.75 | 100 |
| 30.16 | 45 |
| 30.52 | 35 |
| 30.87 | 29 |
| 31.30 | 22 |
| 31.74 | 33 |
| 32.64 | 34 |

Atomic structure:
Cell: 9.3760 8.6238 9.5095 Å, 90.00 104.28 90.00°
Fractional coordinates of all 60 atoms:
Rb 0.1924 0.1123 0.0637
Rb 0.1924 0.3877 0.5637
Rb 0.8076 0.6123 0.4363
Rb 0.8076 0.8877 0.9363
Al 0.1967 0.6563 0.9336
Al 0.1967 0.8437 0.4336
Al 0.8033 0.1563 0.5664
Al 0.8033 0.3437 0.0664
B 0.3386 0.0435 0.7015
B 0.3386 0.4565 0.2015
B 0.6614 0.5435 0.7985
B 0.6614 0.9565 0.2985
P 0.0705 0.5661 0.2069
P 0.0705 0.9339 0.7069
P 0.4125 0.7329 0.7247
P 0.4125 0.7671 0.2247
P 0.5875 0.2329 0.7753
P 0.5875 0.2671 0.2753
P 0.9295 0.0661 0.2931
P 0.9295 0.4339 0.7931
H 0.3877 0.0536 0.4995
H 0.3877 0.4464 0.9995
H 0.6123 0.5536 0.0005
H 0.6123 0.9464 0.5005
O 0.0755 0.5178 0.8042
O 0.0755 0.9822 0.3042
O 0.0774 0.6540 0.0686
O 0.0774 0.8460 0.5686
O 0.0969 0.6705 0.3420
O 0.0969 0.8295 0.8420
O 0.1972 0.0624 0.7395
O 0.1972 0.4376 0.2395
O 0.3040 0.0304 0.5394
O 0.3040 0.4696 0.0394
O 0.3362 0.7152 0.5644
O 0.3362 0.7848 0.0644
O 0.3409 0.6350 0.8223
O 0.3409 0.8650 0.3223
O 0.4209 0.1866 0.7491
O 0.4209 0.3134 0.2491
O 0.4239 0.5920 0.2719
O 0.4239 0.9080 0.7719
O 0.5761 0.0920 0.2281
O 0.5761 0.4080 0.7281
O 0.5791 0.6866 0.7509
O 0.5791 0.8134 0.2509
O 0.6591 0.1350 0.6777
O 0.6591 0.3650 0.1777
O 0.6638 0.2152 0.9356
O 0.6638 0.2848 0.4356
O 0.6960 0.5304 0.9606
O 0.6960 0.9696 0.4606
O 0.8028 0.5624 0.7605
O 0.8028 0.9376 0.2605
O 0.9031 0.1705 0.1580
O 0.9031 0.3295 0.6580
O 0.9226 0.1540 0.4314
O 0.9226 0.3460 0.9314
O 0.9245 0.0178 0.6958
O 0.9245 0.4822 0.1958

[6]
This entry pairs a crystal structure of AlHgB with its simulated X-ray diffraction stick pattern. Radiation: Cu Kα (weighted mean of Kα1 and Kα2). Structure: DFT lattice parameters and positions (GGA-PBE).
Lines closer than 0.1° are merged.

Main lines, in order of rising 2θ (2θ = 15–90°):
| 2theta | Rel. int. |
| --- | --- |
| 27.00 | 55 |
| 27.86 | 59 |
| 31.32 | 90 |
| 32.73 | 100 |
| 34.06 | 91 |
| 35.37 | 56 |
| 35.71 | 49 |
| 36.27 | 70 |
| 38.43 | 49 |
| 39.37 | 50 |

Atomic structure:
Cell: 3.0648 3.6228 10.0305 Å, 82.32 82.51 65.51°
Fractional coordinates of all 6 atoms:
Al 0.0117 0.3614 0.1421
Al 0.9883 0.6386 0.8579
Hg 0.1946 0.7282 0.3712
Hg 0.8054 0.2718 0.6288
B 0.2647 0.0014 0.9642
B 0.7353 0.9986 0.0358